Entry 1:
Starting from the GGA-PBE geometry in the Materials Project, the XRD peak list of Ba6MgSc2C2O6F14 was calculated for λ = 1.5418 Å (Cu Kα).
Neutral-atom scattering factors, no anomalous dispersion.

Structure:
Cell: 9.1221 9.1221 6.4148 Å, 94.46 94.46 82.39°
Positions (direct):
1 Ba 0.1041 0.6625 0.7502
2 Ba 0.3375 0.8959 0.2498
3 Ba 0.3529 0.3529 0.3803
4 Ba 0.6471 0.6471 0.6197
5 Ba 0.6625 0.1041 0.7502
6 Ba 0.8959 0.3375 0.2498
7 Mg 0.5000 0.5000 0.0000
8 Sc 0.2143 0.2143 0.8125
9 Sc 0.7857 0.7857 0.1875
10 C 0.0199 0.0199 0.7676
11 C 0.9801 0.9801 0.2324
12 O 0.0225 0.8372 0.2063
13 O 0.0732 0.0732 0.2821
14 O 0.1628 0.9775 0.7937
15 O 0.8372 0.0225 0.2063
16 O 0.9268 0.9268 0.7179
17 O 0.9775 0.1628 0.7937
18 F 0.1034 0.3758 0.5871
19 F 0.1398 0.3723 0.0557
20 F 0.3368 0.6632 0.0000
21 F 0.3475 0.6525 0.5000
22 F 0.3723 0.1398 0.0557
23 F 0.3745 0.3745 0.8066
24 F 0.3758 0.1034 0.5871
25 F 0.6242 0.8966 0.4129
26 F 0.6255 0.6255 0.1934
27 F 0.6277 0.8602 0.9443
28 F 0.6525 0.3475 0.5000
29 F 0.6632 0.3368 0.0000
30 F 0.8602 0.6277 0.9443
31 F 0.8966 0.6242 0.4129

Top 8 peaks for 5° ≤ 2θ ≤ 70°, by angle:
18.02 deg, rel. 30; 23.36 deg, rel. 100; 24.94 deg, rel. 100; 29.04 deg, rel. 31; 29.72 deg, rel. 57; 37.15 deg, rel. 27; 39.97 deg, rel. 44; 40.67 deg, rel. 34

Entry 2:
Starting from the GGA-PBE geometry in the Materials Project, the XRD peak list of BiKrF7 was calculated for λ = 1.5418 Å (Cu Kα).
Neutral-atom scattering factors, no anomalous dispersion.

Structure:
Cell: 5.5788 10.8437 11.5183 Å, 90.00 95.29 90.00°
Positions (direct):
1 Bi 0.0997 0.0105 0.2678
2 Bi 0.0997 0.4895 0.7678
3 Bi 0.9003 0.5105 0.2322
4 Bi 0.9003 0.9895 0.7322
5 Kr 0.4838 0.7321 0.9713
6 Kr 0.4838 0.7679 0.4713
7 Kr 0.5162 0.2321 0.5287
8 Kr 0.5162 0.2679 0.0287
9 F 0.0048 0.1323 0.3894
10 F 0.0048 0.3677 0.8894
11 F 0.0888 0.5913 0.3704
12 F 0.0888 0.9087 0.8704
13 F 0.1679 0.1044 0.6925
14 F 0.1679 0.3956 0.1925
15 F 0.2448 0.6282 0.6798
16 F 0.2448 0.8718 0.1798
17 F 0.3119 0.5679 0.9257
18 F 0.3119 0.9321 0.4257
19 F 0.3541 0.1243 0.9816
20 F 0.3541 0.3757 0.4816
21 F 0.3998 0.1146 0.2551
22 F 0.3998 0.3854 0.7551
23 F 0.6002 0.6146 0.2449
24 F 0.6002 0.8854 0.7449
25 F 0.6459 0.6243 0.5184
26 F 0.6459 0.8757 0.0184
27 F 0.6881 0.0679 0.5743
28 F 0.6881 0.4321 0.0743
29 F 0.7552 0.1282 0.8202
30 F 0.7552 0.3718 0.3202
31 F 0.8321 0.6044 0.8075
32 F 0.8321 0.8956 0.3075
33 F 0.9112 0.0913 0.1296
34 F 0.9112 0.4087 0.6296
35 F 0.9952 0.6323 0.1106
36 F 0.9952 0.8677 0.6106

Top 8 peaks for 5° ≤ 2θ ≤ 70°, by angle:
15.45 deg, rel. 27; 16.35 deg, rel. 30; 18.95 deg, rel. 26; 20.13 deg, rel. 35; 21.22 deg, rel. 60; 22.57 deg, rel. 100; 22.92 deg, rel. 79; 23.30 deg, rel. 28

Entry 3:
Starting from the GGA-PBE geometry in the Materials Project, the XRD peak list of TePt was calculated for λ = 1.5418 Å (Cu Kα).
Neutral-atom scattering factors, no anomalous dispersion.

Structure:
Cell: 4.2629 4.2629 5.6618 Å, 90.00 90.00 120.00°
Positions (direct):
1 Te 0.3333 0.6667 0.2500
2 Te 0.6667 0.3333 0.7500
3 Pt 0.0000 0.0000 0.0000
4 Pt 0.0000 0.0000 0.5000

Top 8 peaks for 5° ≤ 2θ ≤ 70°, by angle:
24.11 deg, rel. 48; 28.87 deg, rel. 44; 40.14 deg, rel. 100; 42.41 deg, rel. 66; 49.37 deg, rel. 7; 52.12 deg, rel. 8; 54.62 deg, rel. 7; 59.81 deg, rel. 31

Entry 4:
Starting from the GGA-PBE geometry in the Materials Project, the XRD peak list of W2N3 was calculated for λ = 1.5418 Å (Cu Kα).
Neutral-atom scattering factors, no anomalous dispersion.

Structure:
Cell: 5.0144 5.0144 5.3802 Å, 99.12 99.12 119.72°
Positions (direct):
1 W 0.0000 0.0000 0.0000
2 W 0.1859 0.1859 0.5387
3 W 0.5028 0.8399 0.5146
4 W 0.8399 0.5028 0.5146
5 N 0.0892 0.7731 0.2725
6 N 0.2551 0.9211 0.7754
7 N 0.4126 0.4126 0.2711
8 N 0.6013 0.6013 0.7732
9 N 0.7731 0.0892 0.2725
10 N 0.9211 0.2551 0.7754

Top 8 peaks for 5° ≤ 2θ ≤ 70°, by angle:
17.37 deg, rel. 100; 35.16 deg, rel. 54; 36.13 deg, rel. 45; 36.32 deg, rel. 88; 37.71 deg, rel. 69; 43.17 deg, rel. 45; 46.78 deg, rel. 94; 55.82 deg, rel. 32

Entry 5:
Starting from the GGA-PBE geometry in the Materials Project, the XRD peak list of Mn3Sb was calculated for λ = 1.5418 Å (Cu Kα).
Neutral-atom scattering factors, no anomalous dispersion.

Structure:
Cell: 5.4141 5.4141 4.3447 Å, 90.00 90.00 120.00°
Positions (direct):
1 Mn 0.1530 0.3059 0.2500
2 Mn 0.1530 0.8470 0.2500
3 Mn 0.3059 0.1530 0.7500
4 Mn 0.6941 0.8470 0.2500
5 Mn 0.8470 0.1530 0.7500
6 Mn 0.8470 0.6941 0.7500
7 Sb 0.3333 0.6667 0.7500
8 Sb 0.6667 0.3333 0.2500

Top 8 peaks for 5° ≤ 2θ ≤ 70°, by angle:
28.00 deg, rel. 24; 33.09 deg, rel. 9; 38.40 deg, rel. 25; 41.57 deg, rel. 27; 43.88 deg, rel. 100; 51.57 deg, rel. 4; 57.87 deg, rel. 14; 69.44 deg, rel. 15

Entry 6:
Starting from the GGA-PBE geometry in the Materials Project, the XRD peak list of HoB4Rh was calculated for λ = 1.5418 Å (Cu Kα).
Neutral-atom scattering factors, no anomalous dispersion.

Structure:
Cell: 5.9639 11.5595 3.5676 Å, 90.00 90.00 90.00°
Positions (direct):
1 Ho 0.1298 0.1491 0.0000
2 Ho 0.3702 0.6491 0.0000
3 Ho 0.6298 0.3509 0.0000
4 Ho 0.8702 0.8509 0.0000
5 B 0.0242 0.6930 0.5000
6 B 0.1129 0.5469 0.5000
7 B 0.1360 0.9692 0.5000
8 B 0.2123 0.8126 0.5000
9 B 0.2877 0.3126 0.5000
10 B 0.3640 0.4692 0.5000
11 B 0.3871 0.0469 0.5000
12 B 0.4758 0.1930 0.5000
13 B 0.5242 0.8070 0.5000
14 B 0.6129 0.9531 0.5000
15 B 0.6360 0.5308 0.5000
16 B 0.7123 0.6874 0.5000
17 B 0.7877 0.1874 0.5000
18 B 0.8640 0.0308 0.5000
19 B 0.8871 0.4531 0.5000
20 B 0.9758 0.3070 0.5000
21 Rh 0.1420 0.4052 0.0000
22 Rh 0.3580 0.9052 0.0000
23 Rh 0.6420 0.0948 0.0000
24 Rh 0.8580 0.5948 0.0000

Top 8 peaks for 5° ≤ 2θ ≤ 70°, by angle:
24.96 deg, rel. 74; 30.96 deg, rel. 83; 37.52 deg, rel. 18; 38.16 deg, rel. 19; 40.17 deg, rel. 100; 43.04 deg, rel. 22; 46.14 deg, rel. 27; 61.05 deg, rel. 25

Entry 7:
Starting from the GGA-PBE geometry in the Materials Project, the XRD peak list of Fe2NiB was calculated for λ = 1.5418 Å (Cu Kα).
Neutral-atom scattering factors, no anomalous dispersion.

Structure:
Cell: 6.3743 6.3743 6.3743 Å, 96.23 96.23 141.53°
Positions (direct):
1 Fe 0.1292 0.4650 0.6135
2 Fe 0.1466 0.3371 0.9768
3 Fe 0.3603 0.1698 0.0232
4 Fe 0.4844 0.8708 0.3359
5 Fe 0.5350 0.1485 0.6641
6 Fe 0.6629 0.6397 0.8096
7 Fe 0.8302 0.8534 0.1904
8 Fe 0.8515 0.5156 0.3865
9 Ni 0.0593 0.0218 0.6059
10 Ni 0.4159 0.4533 0.3941
11 Ni 0.5467 0.9407 0.9626
12 Ni 0.9782 0.5841 0.0374
13 B 0.0480 0.7183 0.7437
14 B 0.2817 0.0254 0.3297
15 B 0.6957 0.9520 0.6703
16 B 0.9746 0.3043 0.2563

Top 8 peaks for 5° ≤ 2θ ≤ 70°, by angle:
31.73 deg, rel. 18; 38.28 deg, rel. 36; 44.00 deg, rel. 100; 45.20 deg, rel. 28; 45.76 deg, rel. 50; 47.79 deg, rel. 29; 49.18 deg, rel. 91; 55.50 deg, rel. 18

Entry 8:
Starting from the GGA-PBE geometry in the Materials Project, the XRD peak list of ErMnGa was calculated for λ = 1.5418 Å (Cu Kα).
Neutral-atom scattering factors, no anomalous dispersion.

Structure:
Cell: 8.1331 8.1331 8.1331 Å, 121.01 82.32 128.21°
Positions (direct):
1 Er 0.0001 0.2500 0.2501
2 Er 0.9999 0.7500 0.7499
3 Er 0.1715 0.6300 0.0415
4 Er 0.1775 0.1335 0.5440
5 Er 0.5885 0.1300 0.9585
6 Er 0.5895 0.6335 0.4560
7 Mn 0.3529 0.3529 0.0000
8 Mn 0.3529 0.8529 0.5000
9 Mn 0.5844 0.2041 0.3834
10 Mn 0.5844 0.7010 0.8803
11 Mn 0.8207 0.2010 0.6166
12 Mn 0.8207 0.7041 0.1197
13 Ga 0.2527 0.0880 0.1661
14 Ga 0.2527 0.5867 0.6648
15 Ga 0.5837 0.8362 0.2475
16 Ga 0.5887 0.3362 0.7525
17 Ga 0.9219 0.0867 0.8339
18 Ga 0.9219 0.5880 0.3352

Top 8 peaks for 5° ≤ 2θ ≤ 70°, by angle:
25.13 deg, rel. 22; 29.06 deg, rel. 15; 33.78 deg, rel. 100; 36.90 deg, rel. 92; 38.73 deg, rel. 13; 38.86 deg, rel. 27; 45.28 deg, rel. 29; 61.17 deg, rel. 14

Entry 9:
Starting from the GGA-PBE geometry in the Materials Project, the XRD peak list of VP was calculated for λ = 1.5418 Å (Cu Kα).
Neutral-atom scattering factors, no anomalous dispersion.

Structure:
Cell: 3.1501 3.1501 6.2382 Å, 90.00 90.00 120.00°
Positions (direct):
1 V 0.0000 0.0000 0.0000
2 V 0.0000 0.0000 0.5000
3 P 0.3333 0.6667 0.2500
4 P 0.6667 0.3333 0.7500

Top 8 peaks for 5° ≤ 2θ ≤ 70°, by angle:
28.62 deg, rel. 5; 32.83 deg, rel. 34; 35.93 deg, rel. 31; 44.10 deg, rel. 100; 55.57 deg, rel. 8; 58.61 deg, rel. 30; 59.25 deg, rel. 10; 69.42 deg, rel. 6

Entry 10:
Starting from the GGA-PBE geometry in the Materials Project, the XRD peak list of CaHo2S4 was calculated for λ = 1.5418 Å (Cu Kα).
Neutral-atom scattering factors, no anomalous dispersion.

Structure:
Cell: 12.9650 3.8858 13.1434 Å, 90.00 90.00 90.00°
Positions (direct):
1 Ca 0.1312 0.2500 0.0835
2 Ca 0.3688 0.7500 0.5835
3 Ca 0.6312 0.2500 0.4165
4 Ca 0.8688 0.7500 0.9165
5 Ho 0.1072 0.7500 0.4167
6 Ho 0.1467 0.7500 0.7973
7 Ho 0.3533 0.2500 0.2973
8 Ho 0.3928 0.2500 0.9167
9 Ho 0.6072 0.7500 0.0833
10 Ho 0.6467 0.7500 0.7027
11 Ho 0.8533 0.2500 0.2027
12 Ho 0.8928 0.2500 0.5833
13 S 0.0303 0.2500 0.8824
14 S 0.0335 0.7500 0.6178
15 S 0.2169 0.7500 0.2376
16 S 0.2422 0.2500 0.4738
17 S 0.2578 0.7500 0.9738
18 S 0.2831 0.2500 0.7376
19 S 0.4665 0.2500 0.1178
20 S 0.4697 0.7500 0.3824
21 S 0.5303 0.2500 0.6176
22 S 0.5335 0.7500 0.8822
23 S 0.7169 0.7500 0.2624
24 S 0.7422 0.2500 0.0262
25 S 0.7578 0.7500 0.5262
26 S 0.7831 0.2500 0.7624
27 S 0.9665 0.2500 0.3822
28 S 0.9697 0.7500 0.1176

Top 8 peaks for 5° ≤ 2θ ≤ 70°, by angle:
15.11 deg, rel. 82; 24.52 deg, rel. 100; 26.75 deg, rel. 91; 27.53 deg, rel. 60; 31.71 deg, rel. 56; 33.88 deg, rel. 66; 42.08 deg, rel. 56; 46.74 deg, rel. 52

Entry 11:
Starting from the GGA-PBE geometry in the Materials Project, the XRD peak list of CeIr5 was calculated for λ = 1.5418 Å (Cu Kα).
Neutral-atom scattering factors, no anomalous dispersion.

Structure:
Cell: 5.2657 5.2657 5.2657 Å, 60.00 60.00 60.00°
Positions (direct):
1 Ce 0.0000 0.0000 0.0000
2 Ir 0.3760 0.3760 0.3760
3 Ir 0.3760 0.3760 0.8721
4 Ir 0.3760 0.8721 0.3760
5 Ir 0.7500 0.7500 0.7500
6 Ir 0.8721 0.3760 0.3760

Top 8 peaks for 5° ≤ 2θ ≤ 70°, by angle:
20.66 deg, rel. 11; 34.05 deg, rel. 23; 40.16 deg, rel. 100; 42.03 deg, rel. 45; 48.92 deg, rel. 7; 53.65 deg, rel. 3; 60.95 deg, rel. 9; 65.09 deg, rel. 33